Record 1
Starting from a DFT-relaxed cell (PBE+U, the Materials Project), the X-ray powder pattern of Sr3CaTiMn3O12 was calculated for Cu Ka.
No peak broadening, texture or thermal motion is included.

Crystal structure
Lattice parameters (Å, degrees): 7.793 7.745 7.743 90.00 90.00 90.00
Fractional coordinates of all 40 atoms:
1 Sr 0.250 0.247 0.000
2 Sr 0.250 0.247 0.494
3 Sr 0.250 0.753 0.493
4 Sr 0.750 0.247 0.493
5 Sr 0.750 0.753 0.000
6 Sr 0.750 0.753 0.494
7 Ca 0.250 0.754 0.001
8 Ca 0.750 0.246 0.001
9 Ti 0.000 0.500 0.749
10 Ti 0.500 0.500 0.749
11 Mn 0.000 0.000 0.246
12 Mn 0.000 0.000 0.748
13 Mn 0.000 0.500 0.246
14 Mn 0.500 0.000 0.246
15 Mn 0.500 0.000 0.748
16 Mn 0.500 0.500 0.246
17 O 0.000 0.000 0.497
18 O 0.000 0.000 0.997
19 O 0.000 0.500 0.000
20 O 0.000 0.500 0.493
21 O 0.002 0.753 0.749
22 O 0.003 0.750 0.243
23 O 0.250 0.501 0.749
24 O 0.250 0.503 0.243
25 O 0.250 0.997 0.750
26 O 0.250 0.998 0.243
27 O 0.497 0.750 0.243
28 O 0.498 0.753 0.749
29 O 0.500 0.000 0.497
30 O 0.500 0.000 0.997
31 O 0.500 0.500 0.000
32 O 0.500 0.500 0.493
33 O 0.501 0.247 0.749
34 O 0.503 0.250 0.243
35 O 0.750 0.002 0.243
36 O 0.750 0.003 0.750
37 O 0.750 0.497 0.243
38 O 0.750 0.499 0.749
39 O 0.997 0.250 0.243
40 O 0.998 0.247 0.749

The 10 most intense peaks (2θ = 5–70°), in order of rising 2θ:
Position (°2θ), intensity, (hkl)
19.82, 3, 1 1 1
32.60, 100, 2 2 0
32.71, 49, 0 2 2
40.26, 22, 2 2 2
46.62, 21, 4 0 0
46.93, 41, 0 4 0
58.11, 19, 4 2 2
58.31, 37, 2 4 2
68.30, 23, 4 4 0
68.55, 12, 0 4 4

---

Record 2
Starting from a DFT-relaxed cell (PBE+U, the Materials Project), the X-ray powder pattern of SrCa7Ti3Mn5O20 was calculated for Cu Ka.
No peak broadening, texture or thermal motion is included.

Crystal structure
Lattice parameters (Å, degrees): 7.915 7.928 7.935 90.72 90.24 90.95
Fractional coordinates of all 36 atoms:
1 Sr 0.000 0.000 0.000
2 Ca 0.007 0.036 0.503
3 Ca 0.033 0.430 0.999
4 Ca 0.055 0.460 0.501
5 Ca 0.444 0.514 0.999
6 Ca 0.449 0.502 0.500
7 Ca 0.493 0.016 0.015
8 Ca 0.505 0.036 0.500
9 Ti 0.737 0.274 0.753
10 Ti 0.756 0.747 0.329
11 Ti 0.772 0.710 0.765
12 Mn 0.232 0.751 0.756
13 Mn 0.250 0.756 0.254
14 Mn 0.260 0.230 0.754
15 Mn 0.264 0.243 0.252
16 Mn 0.754 0.262 0.264
17 O 0.016 0.229 0.272
18 O 0.168 0.981 0.736
19 O 0.244 0.728 0.510
20 O 0.249 0.227 0.010
21 O 0.267 0.502 0.237
22 O 0.276 0.248 0.496
23 O 0.294 0.508 0.760
24 O 0.298 0.785 0.999
25 O 0.504 0.193 0.250
26 O 0.526 0.160 0.766
27 O 0.543 0.815 0.280
28 O 0.655 0.502 0.746
29 O 0.702 0.838 0.932
30 O 0.752 0.186 0.524
31 O 0.758 0.520 0.337
32 O 0.765 0.821 0.557
33 O 0.779 0.251 0.992
34 O 0.962 0.832 0.258
35 O 0.983 0.295 0.734
36 O 0.983 0.666 0.823

The 10 most intense peaks (2θ = 5–70°), in order of rising 2θ:
Position (°2θ), intensity, (hkl)
11.17, 24, 1 0 0
22.44, 20, 0 2 0
31.70, 100, 2 -2 0
31.87, 40, 2 0 -2
32.02, 39, 2 0 2
32.13, 49, 0 2 2
32.23, 63, 2 2 0
45.76, 62, 0 0 4
45.86, 31, 4 0 0
57.55, 17, 4 2 2